Simulated XRD peak list of AcPmRh for Cu Kα (weighted mean of Kα1 and Kα2), from DFT lattice parameters and positions (GGA-PBE).

Principal peaks in the range 10 to 80 degrees two-theta, in order of falling intensity:
2θ = 27.71°, I 100.0, hkl 1 1 -1
2θ = 28.02°, I 84.3, hkl 1 0 2
2θ = 42.64°, I 44.0, hkl 0 1 3
2θ = 36.45°, I 39.4, hkl 2 1 -1
2θ = 13.43°, I 35.4, hkl 1 0 0
2θ = 48.52°, I 28.5, hkl 3 1 1
2θ = 42.74°, I 22.5, hkl 0 2 0
2θ = 27.04°, I 22.0, hkl 2 0 0
2θ = 51.91°, I 22.0, hkl 1 2 2
2θ = 27.53°, I 18.4, hkl 1 0 -2
2θ = 36.86°, I 17.2, hkl 2 1 1
2θ = 47.75°, I 15.6, hkl 3 0 -2

Structural model:
a b c (Å): 6.5958 4.2312 7.3527
angles (deg): 90.00 91.24 90.00
Atoms (fractional coordinates):
1 Ac 0.2383 0.2500 0.0986
2 Ac 0.7617 0.7500 0.9014
3 Pm 0.2298 0.7500 0.5773
4 Pm 0.7702 0.2500 0.4227
5 Rh 0.0148 0.2500 0.7455
6 Rh 0.9852 0.7500 0.2545